Diffraction record for Y4TcAg. The XRD peak list is simulated, not measured: it uses a GGA-PBE-relaxed structure and Cu Kα.
Neutral-atom scattering factors, no anomalous dispersion.

Peak list (6 most intense, 5 to 70 degrees two-theta, sorted by position)
31.50°, d 2.840, I 100; 32.01°, d 2.796, I 75; 32.38°, d 2.765, I 54; 32.64°, d 2.744, I 52; 33.59°, d 2.668, I 58; 35.92°, d 2.500, I 66

Cell and atoms:
a b c (Å): 6.4080 7.3776 8.0217
angles (deg): 110.27 102.07 105.08
Element x y z (fractional)
Y1 0.0304 0.3651 0.2353
Y2 0.1724 0.8556 0.2516
Y3 0.3623 0.3562 0.6526
Y4 0.3724 0.1652 0.9831
Y5 0.6276 0.8348 0.0169
Y6 0.6377 0.6438 0.3474
Y7 0.8276 0.1444 0.7484
Y8 0.9696 0.6349 0.7647
Tc1 0.2525 0.5079 0.0014
Tc2 0.7475 0.4921 0.9986
Ag1 0.3466 0.7888 0.6107
Ag2 0.6534 0.2112 0.3893